(1)
Diffraction record for LiCoPO4. The powder diffraction line list is simulated, not measured: it uses DFT lattice parameters and positions (PBE+U) and Cu Ka.

Atomic structure:
```
LiCoPO4
1.0
7.4681 0.0000 0.0000
-3.7341 6.4676 0.0000
0.0000 0.0000 9.5101
Li Co P O
6 6 6 24
direct
0.0477 0.2567 0.0000
0.2090 0.9523 0.0000
0.2567 0.0477 0.5000
0.7433 0.7910 0.0000
0.7910 0.7433 0.5000
0.9523 0.2090 0.5000
0.0500 0.5917 0.2264
0.4083 0.4583 0.2264
0.4583 0.4083 0.7264
0.5417 0.9500 0.2264
0.5917 0.0500 0.7264
0.9500 0.5417 0.7264
0.0000 0.0000 0.2478
0.0000 0.0000 0.7478
0.3333 0.6667 0.5204
0.3333 0.6667 0.9242
0.6667 0.3333 0.0204
0.6667 0.3333 0.4242
0.0000 0.0000 0.4099
0.0000 0.0000 0.9099
0.1016 0.8768 0.1893
0.1142 0.5036 0.5692
0.1232 0.2248 0.1893
0.1681 0.7184 0.8719
0.2248 0.1232 0.6893
0.2816 0.4496 0.8719
0.3333 0.6667 0.0903
0.3333 0.6667 0.3516
0.3894 0.8858 0.5692
0.4496 0.2816 0.3719
0.4964 0.6106 0.5692
0.5036 0.1142 0.0692
0.5504 0.8319 0.8719
0.6106 0.4964 0.0692
0.6667 0.3333 0.5903
0.6667 0.3333 0.8516
0.7184 0.1681 0.3719
0.7752 0.8984 0.1893
0.8319 0.5504 0.3719
0.8768 0.1016 0.6893
0.8858 0.3894 0.0692
0.8984 0.7752 0.6893
```

Most intense lines, 10 to 90 degrees two-theta, by angle:
2θ (°)  I_rel
13.69  36
18.66  60
23.83  65
27.58  49
30.44  100
31.43  50
33.51  100
41.54  31
47.46  28
54.69  26


(2)
Diffraction record for NaCa2Fe5Si8O24. The powder diffraction line list is simulated, not measured: it uses DFT lattice parameters and positions (PBE+U) and Cu Ka.

Atomic structure:
```
NaCa2Fe5Si8O24
1.0
5.0893 -9.1931 0.0000
5.0893 9.1931 0.0000
-1.3749 0.0000 5.1548
Na Ca Fe Si O
1 2 5 8 24
direct
0.0000 0.0000 0.0000
0.2243 0.7757 0.5000
0.7757 0.2243 0.5000
0.3220 0.6780 0.0000
0.4211 0.5789 0.5000
0.5000 0.5000 0.0000
0.5789 0.4211 0.5000
0.6780 0.3220 0.0000
0.0433 0.3819 0.1971
0.1380 0.3056 0.7009
0.3056 0.1380 0.7009
0.3819 0.0433 0.1971
0.6181 0.9567 0.8029
0.6944 0.8620 0.2991
0.8620 0.6944 0.2991
0.9567 0.6181 0.8029
0.0218 0.2865 0.8990
0.0389 0.2693 0.4043
0.1110 0.6229 0.7904
0.1628 0.1628 0.7122
0.2056 0.5507 0.2824
0.2693 0.0389 0.4043
0.2865 0.0218 0.8990
0.2947 0.4749 0.7788
0.3771 0.8890 0.2096
0.3964 0.3964 0.2809
0.4493 0.7944 0.7176
0.4749 0.2947 0.7788
0.5251 0.7053 0.2212
0.5507 0.2056 0.2824
0.6036 0.6036 0.7191
0.6229 0.1110 0.7904
0.7053 0.5251 0.2212
0.7135 0.9782 0.1010
0.7307 0.9611 0.5957
0.7944 0.4493 0.7176
0.8372 0.8372 0.2878
0.8890 0.3771 0.2096
0.9611 0.7307 0.5957
0.9782 0.7135 0.1010
```

Most intense lines, 10 to 90 degrees two-theta, by angle:
2θ (°)  I_rel
10.20  100
25.94  29
27.64  39
32.54  49
34.03  37
34.89  35
37.53  22
40.94  25
43.88  19
60.39  19


(3)
Diffraction record for Fe3SbP6O24. The powder diffraction line list is simulated, not measured: it uses DFT lattice parameters and positions (PBE+U) and Cu Ka.

Atomic structure:
```
Fe3SbP6O24
1.0
4.3539 2.5137 7.3834
-4.3539 2.5137 7.3834
0.0000 -5.0275 7.3834
Fe Sb P O
3 1 6 24
direct
0.0000 0.0000 0.0000
0.2132 0.2132 0.2132
0.4995 0.4995 0.4995
0.7127 0.7127 0.7127
0.1056 0.8212 0.3928
0.3205 0.6060 0.8926
0.3928 0.1056 0.8212
0.6060 0.8926 0.3205
0.8212 0.3928 0.1056
0.8926 0.3205 0.6060
0.0687 0.2964 0.4339
0.0777 0.8467 0.2243
0.1307 0.9912 0.3662
0.1437 0.7779 0.9194
0.2243 0.0777 0.8467
0.2776 0.6441 0.4186
0.2964 0.4339 0.0687
0.3503 0.5839 0.7190
0.3662 0.1307 0.9912
0.4186 0.2776 0.6441
0.4339 0.0687 0.2964
0.4937 0.6290 0.8714
0.5758 0.9312 0.7960
0.5839 0.7190 0.3503
0.6290 0.8714 0.4937
0.6441 0.4186 0.2776
0.7190 0.3503 0.5839
0.7779 0.9194 0.1437
0.7960 0.5758 0.9312
0.8467 0.2243 0.0777
0.8714 0.4937 0.6290
0.9194 0.1437 0.7779
0.9312 0.7960 0.5758
0.9912 0.3662 0.1307
```

Most intense lines, 10 to 90 degrees two-theta, by angle:
2θ (°)  I_rel
14.21  59
19.89  86
20.40  50
23.72  100
28.64  64
31.78  48
35.42  19
35.72  22
52.31  21
55.87  19


(4)
Diffraction record for La2MgCrO6. The powder diffraction line list is simulated, not measured: it uses DFT lattice parameters and positions (PBE+U) and Cu Ka.

Atomic structure:
```
La2MgCrO6
1.0
2.8013 1.6173 4.4796
-2.8013 1.6173 4.4796
0.0000 -3.2347 4.4796
La Mg Cr O
2 1 1 6
direct
0.2483 0.2483 0.2483
0.7517 0.7517 0.7517
0.5000 0.5000 0.5000
0.0000 0.0000 0.0000
0.1728 0.7640 0.3112
0.2360 0.6888 0.8272
0.3112 0.1728 0.7640
0.6888 0.8272 0.2360
0.7640 0.3112 0.1728
0.8272 0.2360 0.6888
```

Most intense lines, 10 to 90 degrees two-theta, by angle:
2θ (°)  I_rel
22.60  62
31.95  97
32.41  100
39.49  39
46.15  62
56.93  24
57.23  41
58.11  19
67.86  18
76.98  17


(5)
Diffraction record for Li8CoO4F2. The powder diffraction line list is simulated, not measured: it uses DFT lattice parameters and positions (PBE+U) and Cu Ka.

Atomic structure:
```
Li8CoO4F2
1.0
5.4033 0.0000 0.0000
-2.3416 4.9349 0.0000
-2.4901 -1.3442 5.2009
Li Co O F
8 1 4 2
direct
0.0822 0.1017 0.3580
0.2063 0.3106 0.0139
0.2734 0.5380 0.6593
0.4086 0.7931 0.3601
0.5914 0.2069 0.6399
0.7266 0.4620 0.3407
0.7937 0.6894 0.9861
0.9178 0.8983 0.6420
0.5000 0.0000 0.0000
0.3222 0.2288 0.7570
0.3643 0.1007 0.2449
0.6357 0.8993 0.7551
0.6778 0.7712 0.2430
0.0427 0.4399 0.2737
0.9573 0.5601 0.7263
```

Most intense lines, 10 to 90 degrees two-theta, by angle:
2θ (°)  I_rel
17.05  52
18.57  52
19.55  55
20.03  49
20.71  48
21.89  48
22.71  33
34.19  100
37.59  71
38.58  49